# 1
Na2LaHg4: theoretical PXRD pattern (Cu Kα X-rays), based on a crystal structure in Alexandria, relaxed with PBE.

Crystal structure
abc: 5.2733 5.2733 25.8139
angles: 90.00 90.00 120.00
Space group R-3m (No. 166, hexagonal axes)
Unique sites:
Na (0.0000, 0.0000, 0.2456)
La (0.0000, 0.0000, 0.0000)
Hg (0.0000, 0.0000, 0.1256)
Hg (0.0000, 0.0000, 0.3788)

The 6 most intense peaks (15 to 90 degrees two-theta), low angle first:
2θ 23.87, I = 46.6, (1 0 4)
2θ 34.01, I = 100.0, (1 1 0)
2θ 48.86, I = 18.1, (2 0 8)
2θ 55.09, I = 20.1, (2 1 4)
2θ 60.87, I = 37.2, (3 0 0)
2θ 81.68, I = 16.2, (3 1 8)


# 2
NaLa5Hg6: theoretical PXRD pattern (Cu Kα X-rays), based on a crystal structure in Alexandria, relaxed with PBE.

Crystal structure
abc: 5.4911 16.3846 7.8028
angles: 90.00 90.00 90.00
Space group Cmmm (No. 65)
Unique sites:
Na (0.0000, 0.0000, 0.0000)
La (0.0000, 0.0000, 0.5000)
La (0.0000, 0.3286, 0.5000)
La (0.0000, 0.3413, 0.0000)
Hg (0.0000, 0.1661, 0.2413)
Hg (0.0000, 0.5000, 0.2610)

The 6 most intense peaks (15 to 90 degrees two-theta), low angle first:
2θ 32.59, I = 100.0, (2 0 0)
2θ 32.80, I = 19.5, (0 6 0)
2θ 46.93, I = 14.5, (2 6 0)
2θ 58.16, I = 22.9, (3 3 2)
2θ 58.41, I = 14.7, (1 9 2)
2θ 68.27, I = 11.6, (4 0 0)


# 3
NaLaNd2Hg4: theoretical PXRD pattern (Cu Kα X-rays), based on a crystal structure in Alexandria, relaxed with PBE.

Crystal structure
abc: 5.3668 5.3668 26.8342
angles: 90.00 90.00 120.00
Space group R-3m (No. 166, hexagonal axes)
Unique sites:
Na (0.0000, 0.0000, 0.0000)
La (0.0000, 0.0000, 0.5000)
Nd (0.0000, 0.0000, 0.2553)
Hg (0.0000, 0.0000, 0.1233)
Hg (0.0000, 0.0000, 0.3745)

The 6 most intense peaks (15 to 90 degrees two-theta), low angle first:
2θ 32.93, I = 100.0, (0 1 8)
2θ 33.39, I = 98.2, (1 1 0)
2θ 47.60, I = 36.1, (2 0 8)
2θ 58.51, I = 18.5, (1 0 16)
2θ 59.39, I = 37.4, (1 2 8)
2θ 59.68, I = 18.8, (3 0 0)


# 4
La3NdHg3: theoretical PXRD pattern (Cu Kα X-rays), based on a crystal structure in Alexandria, relaxed with PBE.

Crystal structure
abc: 10.8485 11.0597 7.4817
angles: 90.00 90.00 90.00
Space group Cmmm (No. 65)
Unique sites:
La (0.0000, 0.2467, 0.0000)
La (0.2370, 0.0000, 0.5000)
La (0.2401, 0.0000, 0.0000)
Nd (0.0000, 0.2514, 0.5000)
Hg (0.0000, 0.5000, 0.2537)
Hg (0.2500, 0.2500, 0.2542)

The 6 most intense peaks (15 to 90 degrees two-theta), low angle first:
2θ 32.38, I = 27.1, (0 4 0)
2θ 33.03, I = 25.2, (4 0 0)
2θ 33.30, I = 100.0, (2 2 2)
2θ 46.93, I = 19.1, (4 4 0)
2θ 58.34, I = 20.2, (2 6 2)
2θ 59.16, I = 19.0, (6 2 2)


# 5
La3Nd3Hg2Rh: theoretical PXRD pattern (Cu Kα X-rays), based on a crystal structure in Alexandria, relaxed with PBE.

Crystal structure
abc: 8.9145 8.9145 3.8990
angles: 90.00 90.00 120.00
Space group P-62m (No. 189)
Unique sites:
La (0.0000, 0.7577, 0.0000)
Nd (0.0000, 0.4059, 0.5000)
Hg (0.3333, 0.6667, 0.0000)
Rh (0.0000, 0.0000, 0.5000)

The 6 most intense peaks (15 to 90 degrees two-theta), low angle first:
2θ 30.46, I = 100.0, (1 1 1)
2θ 30.64, I = 69.9, (2 1 0)
2θ 32.64, I = 92.9, (2 0 1)
2θ 34.86, I = 52.4, (3 0 0)
2θ 38.54, I = 45.2, (2 1 1)
2θ 57.12, I = 39.2, (3 2 1)


# 6
LaNd2Sn2Hg2: theoretical PXRD pattern (Cu Kα X-rays), based on a crystal structure in Alexandria, relaxed with PBE.

Crystal structure
abc: 5.0398 5.0398 28.0880
angles: 90.00 90.00 120.00
Space group R-3m (No. 166, hexagonal axes)
Unique sites:
La (0.0000, 0.0000, 0.0000)
Nd (0.0000, 0.0000, 0.1314)
Sn (0.0000, 0.0000, 0.2690)
Hg (0.0000, 0.0000, 0.4277)

The 6 most intense peaks (15 to 90 degrees two-theta), low angle first:
2θ 30.26, I = 100.0, (1 0 7)
2θ 35.63, I = 79.0, (1 1 0)
2θ 47.42, I = 29.3, (0 2 7)
2θ 50.04, I = 13.6, (0 1 14)
2θ 60.70, I = 28.3, (2 1 7)
2θ 64.00, I = 14.7, (3 0 0)